Entry 1:
Structure and theoretical PXRD pattern of Cs2GaTeO6 (the GGA-PBE geometry in Alexandria; Cu Kα (λ = 1.5418 Å)).
Peak positions follow from Bragg's law for the DFT cell and can differ from measured ones.

The 10 most intense peaks (2θ from 10° to 90°), sorted by position:
15.39 deg, rel. 27, (1 0 0)
22.74 deg, rel. 74, (1 0 1)
26.82 deg, rel. 100, (1 1 0)
35.44 deg, rel. 45, (0 2 1)
37.18 deg, rel. 35, (0 1 2)
45.00 deg, rel. 18, (2 1 1)
46.44 deg, rel. 30, (2 0 2)
47.37 deg, rel. 19, (3 0 0)
54.44 deg, rel. 35, (1 2 2)
55.27 deg, rel. 17, (2 2 0)

Atomic structure:
```
data_Cs2GaTeO6
_space_group_name_H-M_alt 'P -3 m 1'
_space_group_IT_number 164
_space_group_name_Hall '-P 3 2"'
_cell_length_a 6.6482
_cell_length_b 6.6482
_cell_length_c 5.3287
_cell_angle_alpha 90.00
_cell_angle_beta 90.00
_cell_angle_gamma 120.00
loop_
_atom_site_label
_atom_site_type_symbol
_atom_site_fract_x
_atom_site_fract_y
_atom_site_fract_z
_atom_site_occupancy
Cs1 Cs 0.3333 0.6667 0.2444 1
Ga1 Ga 0.0000 0.0000 0.0000 1
Te1 Te 0.0000 0.0000 0.5000 1
O1 O 0.1301 0.2602 0.7376 1
```


Entry 2:
Structure and theoretical PXRD pattern of CsTlGaO4 (the GGA-PBE geometry in Alexandria; Cu Kα (λ = 1.5418 Å)).
Peak positions follow from Bragg's law for the DFT cell and can differ from measured ones.

The 10 most intense peaks (2θ from 10° to 90°), sorted by position:
11.49 deg, rel. 78, (0 0 1)
23.17 deg, rel. 61, (1 1 -1)
25.62 deg, rel. 100, (1 1 1)
27.64 deg, rel. 61, (0 1 2)
29.81 deg, rel. 24, (1 1 -2)
30.19 deg, rel. 56, (0 2 0)
34.82 deg, rel. 42, (2 1 -1)
38.19 deg, rel. 27, (2 1 1)
49.86 deg, rel. 31, (1 1 -4)
51.54 deg, rel. 20, (1 2 3)

Atomic structure:
```
data_CsTlGaO4
_space_group_name_H-M_alt 'P 1 21/m 1'
_space_group_IT_number 11
_cell_length_a 5.854
_cell_length_b 5.920
_cell_length_c 7.803
_cell_angle_alpha 90.00
_cell_angle_beta 99.40
_cell_angle_gamma 90.00
loop_
_space_group_symop_operation_xyz
'x,y,z'
'-x,-y,-z'
'-x,y+1/2,-z'
'x,-y+1/2,z'
loop_
_atom_site_label
_atom_site_type_symbol
_atom_site_fract_x
_atom_site_fract_y
_atom_site_fract_z
_atom_site_occupancy
Cs1 Cs 0.195 0.250 0.099 1
Tl1 Tl 0.165 0.750 0.461 1
Ga1 Ga 0.362 0.250 0.661 1
O1 O 0.139 0.021 0.672 1
O2 O 0.342 0.750 0.214 1
O3 O 0.457 0.250 0.442 1
```